# CsB3H8
Calculated powder X-ray diffraction pattern, CuKα. Input: a structure optimized by DFT (GGA-PBE).

Structure:
```
CsB3H8
1.0
9.498 0.000 0.000
0.000 4.437 3.809
0.000 -4.437 3.809
Cs B H
2 6 16
direct
0.250 0.175 0.825
0.750 0.825 0.175
0.155 0.771 0.219
0.250 0.604 0.393
0.345 0.771 0.219
0.655 0.219 0.771
0.750 0.393 0.604
0.845 0.219 0.771
0.099 0.645 0.352
0.112 0.964 0.292
0.113 0.688 0.029
0.250 0.396 0.337
0.250 0.665 0.601
0.387 0.688 0.029
0.388 0.964 0.292
0.401 0.645 0.352
0.599 0.352 0.645
0.612 0.292 0.964
0.613 0.029 0.688
0.750 0.337 0.396
0.750 0.601 0.665
0.887 0.029 0.688
0.888 0.292 0.964
0.901 0.352 0.645
```

The 10 most intense peaks (2θ = 15–90°), in order of falling intensity:
2θ 17.97, 4.937 Å, rel. 100
2θ 18.69, 4.749 Å, rel. 68
2θ 32.42, 2.762 Å, rel. 66
2θ 22.11, 4.020 Å, rel. 48
2θ 23.36, 3.809 Å, rel. 46
2θ 32.24, 2.777 Å, rel. 44
2θ 30.08, 2.971 Å, rel. 39
2θ 37.73, 2.384 Å, rel. 34
2θ 15.33, 5.780 Å, rel. 25
2θ 20.01, 4.437 Å, rel. 23



# CsB9H14
Calculated powder X-ray diffraction pattern, CuKα. Input: a structure optimized by DFT (GGA-PBE).

Structure:
```
CsB9H14
1.0
5.883 0.000 0.000
1.309 8.754 0.000
1.330 0.219 10.014
Cs B H
2 18 28
direct
0.084 0.271 0.292
0.916 0.729 0.708
0.115 0.147 0.774
0.145 0.320 0.850
0.186 0.307 0.672
0.252 0.135 0.916
0.285 0.116 0.621
0.343 0.999 0.772
0.388 0.384 0.753
0.403 0.298 0.914
0.469 0.272 0.586
0.531 0.728 0.414
0.597 0.702 0.086
0.612 0.616 0.247
0.657 0.001 0.228
0.715 0.884 0.379
0.748 0.865 0.084
0.814 0.693 0.328
0.855 0.680 0.150
0.885 0.853 0.226
0.020 0.597 0.098
0.050 0.390 0.613
0.074 0.892 0.217
0.172 0.090 0.023
0.201 0.070 0.530
0.286 0.873 0.789
0.340 0.739 0.378
0.427 0.513 0.739
0.432 0.690 0.184
0.445 0.362 0.008
0.451 0.002 0.231
0.470 0.332 0.477
0.472 0.149 0.926
0.494 0.884 0.415
0.506 0.116 0.585
0.528 0.851 0.074
0.530 0.668 0.523
0.549 0.998 0.769
0.555 0.638 0.992
0.568 0.310 0.816
0.573 0.487 0.261
0.660 0.261 0.622
0.714 0.127 0.211
0.799 0.930 0.470
0.828 0.910 0.977
0.926 0.108 0.783
0.950 0.610 0.387
0.980 0.403 0.902
```

The 10 most intense peaks (2θ = 15–90°), in order of falling intensity:
2θ 20.29, 4.377 Å, rel. 100
2θ 17.71, 5.007 Å, rel. 63
2θ 17.14, 5.172 Å, rel. 59
2θ 31.18, 2.868 Å, rel. 48
2θ 15.35, 5.771 Å, rel. 37
2θ 20.80, 4.270 Å, rel. 35
2θ 22.25, 3.995 Å, rel. 35
2θ 27.32, 3.264 Å, rel. 35
2θ 23.10, 3.850 Å, rel. 31
2θ 24.98, 3.564 Å, rel. 31



Q: Number 2 is which compound?
A: CsB9H14